This entry pairs a crystal structure of AlGa4Re with its simulated X-ray powder pattern. Radiation: Cu Kα, 1.54184 Å. Structure: a DFT-relaxed cell (PBE, Alexandria).
Peak positions follow from Bragg's law for the DFT cell and can differ from measured ones.

Lattice parameters (Å, degrees): 5.3809 5.7617 7.0029 90.00 90.00 90.00
Space group P222 (No. 16)
Unique sites:
Al: 0.0000 0.0000 0.0000 x1
Al: 0.5000 0.0000 0.5000 x1
Ga: 0.2414 0.2699 0.2434 x4
Ga: 0.2430 0.2707 0.7580 x4
Re: 0.5000 0.0000 0.0000 x1
Re: 0.5000 0.5000 0.5000 x1

Principal peaks in the range 10° ≤ 2θ ≤ 80°, by intensity:
two_theta  I (rel.)  h k l
40.6  1000  0 2 2
42.4  911  2 0 2
20.0  824  0 1 1
46.2  687  2 2 0
26.0  641  1 1 1
16.5  551  1 0 0
30.5  347  1 0 2
72.3  347  2 2 4
52.2  341  0 0 4
39.1  312  2 1 1